Record 1
Diffraction record for Rb3YF6. The XRD peak list is calculated, not measured: it uses a crystal structure in the Materials Project, relaxed with PBE and Cu Kα.
Peak positions follow from Bragg's law for the DFT cell and can differ from measured ones.

Cell and atoms:
```
data_Rb3YF6
_cell_length_a 9.729
_cell_length_b 9.729
_cell_length_c 9.729
_cell_angle_alpha 90.00
_cell_angle_beta 90.00
_cell_angle_gamma 90.00
_symmetry_space_group_name_H-M 'F m -3 m'
_symmetry_Int_Tables_number 225
_symmetry_space_group_name_Hall '-F 4 2 3'
loop_
_atom_site_label
_atom_site_type_symbol
_atom_site_fract_x
_atom_site_fract_y
_atom_site_fract_z
_atom_site_occupancy
Rb1 Rb 0.000 0.000 0.000 1
Rb2 Rb 0.250 0.250 0.250 1
Y1 Y 0.000 0.000 0.500 1
F1 F 0.000 0.000 0.275 1
```

Top 6 peaks for 2θ from 15° to 90°, by intensity:
two_theta, I/Imax
25.9, 100
37.0, 42
45.7, 41
53.3, 26
72.7, 23
60.2, 20

=====

Record 2
Diffraction record for Rb5Zr4F21. The XRD peak list is calculated, not measured: it uses a crystal structure in the Materials Project, relaxed with PBE and Cu Kα.
Peak positions follow from Bragg's law for the DFT cell and can differ from measured ones.

Cell and atoms:
```
data_Rb5Zr4F21
_cell_length_a 8.026
_cell_length_b 11.451
_cell_length_c 11.752
_cell_angle_alpha 90.00
_cell_angle_beta 98.24
_cell_angle_gamma 90.00
_symmetry_space_group_name_H-M 'P 1 21 1'
_symmetry_Int_Tables_number 4
loop_
_symmetry_equiv_pos_as_xyz
'x,y,z'
'-x,y+1/2,-z'
loop_
_atom_site_label
_atom_site_type_symbol
_atom_site_fract_x
_atom_site_fract_y
_atom_site_fract_z
_atom_site_occupancy
Rb1 Rb 0.024 0.000 0.244 1
Rb2 Rb 0.166 0.337 0.405 1
Rb3 Rb 0.193 0.150 0.956 1
Rb4 Rb 0.282 0.486 0.108 1
Rb5 Rb 0.315 0.032 0.614 1
Zr1 Zr 0.174 0.705 0.408 1
Zr2 Zr 0.216 0.812 0.906 1
Zr3 Zr 0.466 0.352 0.776 1
Zr4 Zr 0.498 0.170 0.271 1
F1 F 0.007 0.716 0.264 1
F2 F 0.013 0.617 0.490 1
F3 F 0.052 0.888 0.003 1
F4 F 0.059 0.906 0.788 1
F5 F 0.104 0.861 0.466 1
F6 F 0.113 0.654 0.940 1
F7 F 0.237 0.731 0.741 1
F8 F 0.260 0.216 0.189 1
F9 F 0.285 0.565 0.344 1
F10 F 0.296 0.380 0.883 1
F11 F 0.328 0.304 0.626 1
F12 F 0.330 0.817 0.320 1
F13 F 0.345 0.106 0.382 1
F14 F 0.347 0.514 0.699 1
F15 F 0.347 0.804 0.081 1
F16 F 0.362 0.692 0.548 1
F17 F 0.376 0.946 0.898 1
F18 F 0.389 0.008 0.176 1
F19 F 0.435 0.178 0.802 1
F20 F 0.456 0.707 0.901 1
F21 F 0.480 0.342 0.310 1
```

Top 6 peaks for 2θ from 15° to 90°, by intensity:
two_theta, I/Imax
26.6, 100
25.3, 48
25.5, 47
24.2, 42
37.5, 40
25.9, 40

=====

Record 3
Diffraction record for ReF6. The XRD peak list is calculated, not measured: it uses a crystal structure in the Materials Project, relaxed with PBE and Cu Kα.
Peak positions follow from Bragg's law for the DFT cell and can differ from measured ones.

Cell and atoms:
```
data_ReF6
_cell_length_a 6.444
_cell_length_b 6.444
_cell_length_c 6.444
_cell_angle_alpha 90.00
_cell_angle_beta 90.00
_cell_angle_gamma 90.00
_symmetry_space_group_name_H-M 'I m -3 m'
_symmetry_Int_Tables_number 229
_symmetry_space_group_name_Hall '-I 4 2 3'
loop_
_atom_site_label
_atom_site_type_symbol
_atom_site_fract_x
_atom_site_fract_y
_atom_site_fract_z
_atom_site_occupancy
Re1 Re 0.000 0.000 0.000 1
F1 F 0.000 0.000 0.290 1
```

Top 6 peaks for 2θ from 15° to 90°, by intensity:
two_theta, I/Imax
19.5, 100
44.5, 32
27.7, 27
34.1, 20
53.2, 19
61.0, 15

=====

Record 4
Diffraction record for ReF6. The XRD peak list is calculated, not measured: it uses a crystal structure in the Materials Project, relaxed with PBE and Cu Kα.
Peak positions follow from Bragg's law for the DFT cell and can differ from measured ones.

Cell and atoms:
```
data_ReF6
_cell_length_a 9.485
_cell_length_b 8.687
_cell_length_c 5.017
_cell_angle_alpha 90.00
_cell_angle_beta 90.00
_cell_angle_gamma 90.00
_symmetry_space_group_name_H-M 'P n m a'
_symmetry_Int_Tables_number 62
loop_
_symmetry_equiv_pos_as_xyz
'x,y,z'
'-x,-y,-z'
'-x+1/2,-y,z+1/2'
'x+1/2,y,-z+1/2'
'x+1/2,-y+1/2,-z+1/2'
'-x+1/2,y+1/2,z+1/2'
'-x,y+1/2,-z'
'x,-y+1/2,z'
loop_
_atom_site_label
_atom_site_type_symbol
_atom_site_fract_x
_atom_site_fract_y
_atom_site_fract_z
_atom_site_occupancy
Re1 Re 0.129 0.250 0.081 1
F1 F 0.015 0.250 0.778 1
F2 F 0.017 0.098 0.235 1
F3 F 0.242 0.098 0.927 1
F4 F 0.244 0.250 0.383 1
```

Top 6 peaks for 2θ from 15° to 90°, by intensity:
two_theta, I/Imax
21.3, 100
20.4, 83
22.5, 70
20.0, 43
28.8, 31
46.2, 23

=====

Record 5
Diffraction record for Rh3F. The XRD peak list is calculated, not measured: it uses a crystal structure in the Materials Project, relaxed with PBE and Cu Kα.
Peak positions follow from Bragg's law for the DFT cell and can differ from measured ones.

Cell and atoms:
```
data_Rh3F
_cell_length_a 4.106
_cell_length_b 4.106
_cell_length_c 6.439
_cell_angle_alpha 90.00
_cell_angle_beta 90.00
_cell_angle_gamma 90.00
_symmetry_space_group_name_H-M 'I 4/m m m'
_symmetry_Int_Tables_number 139
_symmetry_space_group_name_Hall '-I 4 2'
loop_
_atom_site_label
_atom_site_type_symbol
_atom_site_fract_x
_atom_site_fract_y
_atom_site_fract_z
_atom_site_occupancy
Rh1 Rh 0.000 0.000 0.000 1
Rh2 Rh 0.000 0.500 0.250 1
F1 F 0.000 0.000 0.500 1
```

Top 6 peaks for 2θ from 15° to 90°, by intensity:
two_theta, I/Imax
41.9, 100
44.1, 43
79.6, 29
25.7, 24
75.0, 17
64.1, 14

=====

Record 6
Diffraction record for RhF3. The XRD peak list is calculated, not measured: it uses a crystal structure in the Materials Project, relaxed with PBE and Cu Kα.
Peak positions follow from Bragg's law for the DFT cell and can differ from measured ones.

Cell and atoms:
```
data_RhF3
_cell_length_a 9.544
_cell_length_b 5.800
_cell_length_c 5.614
_cell_angle_alpha 90.00
_cell_angle_beta 117.21
_cell_angle_gamma 90.00
_symmetry_space_group_name_H-M 'C 1 2/c 1'
_symmetry_Int_Tables_number 15
loop_
_symmetry_equiv_pos_as_xyz
'x,y,z'
'-x,-y,-z'
'-x,y,-z+1/2'
'x,-y,z+1/2'
'x+1/2,y+1/2,z'
'-x+1/2,-y+1/2,-z'
'-x+1/2,y+1/2,-z+1/2'
'x+1/2,-y+1/2,z+1/2'
loop_
_atom_site_label
_atom_site_type_symbol
_atom_site_fract_x
_atom_site_fract_y
_atom_site_fract_z
_atom_site_occupancy
Rh1 Rh 0.000 0.000 0.000 1
F1 F 0.000 0.251 0.250 1
F2 F 0.220 0.000 0.170 1
```

Top 6 peaks for 2θ from 15° to 90°, by intensity:
two_theta, I/Imax
18.5, 100
36.0, 29
20.9, 22
45.2, 18
30.8, 17
32.2, 14

=====

Record 7
Diffraction record for RhF3. The XRD peak list is calculated, not measured: it uses a crystal structure in the Materials Project, relaxed with PBE and Cu Kα.
Peak positions follow from Bragg's law for the DFT cell and can differ from measured ones.

Cell and atoms:
```
data_RhF3
_cell_length_a 5.0144
_cell_length_b 5.0144
_cell_length_c 7.3199
_cell_angle_alpha 90.00
_cell_angle_beta 90.00
_cell_angle_gamma 120.00
_symmetry_space_group_name_H-M 'P 3 2 1'
_symmetry_Int_Tables_number 150
loop_
_symmetry_equiv_pos_as_xyz
'x,y,z'
'-y,x-y,z'
'-x+y,-x,z'
'y,x,-z'
'x-y,-y,-z'
'-x,-x+y,-z'
loop_
_atom_site_label
_atom_site_type_symbol
_atom_site_fract_x
_atom_site_fract_y
_atom_site_fract_z
_atom_site_occupancy
Rh1 Rh 0.0000 0.0000 0.0000 1
Rh2 Rh 0.3333 0.6667 0.6606 1
F1 F 0.0000 0.3469 0.5000 1
F2 F 0.0358 0.7019 0.8218 1
```

Top 6 peaks for 2θ from 15° to 90°, by intensity:
two_theta, I/Imax
23.8, 100
32.0, 37
52.3, 31
35.8, 17
48.8, 16
57.5, 15

=====

Record 8
Diffraction record for RhF6. The XRD peak list is calculated, not measured: it uses a crystal structure in the Materials Project, relaxed with PBE and Cu Kα.
Peak positions follow from Bragg's law for the DFT cell and can differ from measured ones.

Cell and atoms:
```
data_RhF6
_cell_length_a 5.538
_cell_length_b 9.483
_cell_length_c 13.146
_cell_angle_alpha 90.00
_cell_angle_beta 96.99
_cell_angle_gamma 90.00
_symmetry_space_group_name_H-M 'C 1 2/c 1'
_symmetry_Int_Tables_number 15
loop_
_symmetry_equiv_pos_as_xyz
'x,y,z'
'-x,-y,-z'
'-x,y,-z+1/2'
'x,-y,z+1/2'
'x+1/2,y+1/2,z'
'-x+1/2,-y+1/2,-z'
'-x+1/2,y+1/2,-z+1/2'
'x+1/2,-y+1/2,z+1/2'
loop_
_atom_site_label
_atom_site_type_symbol
_atom_site_fract_x
_atom_site_fract_y
_atom_site_fract_z
_atom_site_occupancy
Rh1 Rh 0.250 0.250 0.000 1
F1 F 0.064 0.207 0.561 1
F2 F 0.127 0.386 0.269 1
F3 F 0.188 0.157 0.119 1
```

Top 6 peaks for 2θ from 15° to 90°, by intensity:
two_theta, I/Imax
20.5, 100
18.7, 90
23.2, 88
19.2, 71
26.3, 55
33.0, 30

=====

Record 9
Diffraction record for RhF6. The XRD peak list is calculated, not measured: it uses a crystal structure in the Materials Project, relaxed with PBE and Cu Kα.
Peak positions follow from Bragg's law for the DFT cell and can differ from measured ones.

Cell and atoms:
```
data_RhF6
_cell_length_a 9.452
_cell_length_b 8.637
_cell_length_c 5.005
_cell_angle_alpha 90.00
_cell_angle_beta 90.00
_cell_angle_gamma 90.00
_symmetry_space_group_name_H-M 'P n m a'
_symmetry_Int_Tables_number 62
loop_
_symmetry_equiv_pos_as_xyz
'x,y,z'
'-x,-y,-z'
'-x+1/2,-y,z+1/2'
'x+1/2,y,-z+1/2'
'x+1/2,-y+1/2,-z+1/2'
'-x+1/2,y+1/2,z+1/2'
'-x,y+1/2,-z'
'x,-y+1/2,z'
loop_
_atom_site_label
_atom_site_type_symbol
_atom_site_fract_x
_atom_site_fract_y
_atom_site_fract_z
_atom_site_occupancy
Rh1 Rh 0.129 0.250 0.081 1
F1 F 0.013 0.250 0.777 1
F2 F 0.016 0.097 0.238 1
F3 F 0.243 0.097 0.926 1
F4 F 0.245 0.250 0.385 1
```

Top 6 peaks for 2θ from 15° to 90°, by intensity:
two_theta, I/Imax
21.4, 100
20.5, 84
22.6, 69
20.1, 44
46.4, 31
28.9, 29

=====

Record 10
Diffraction record for RhF3. The XRD peak list is calculated, not measured: it uses a crystal structure in the Materials Project, relaxed with PBE and Cu Kα.
Peak positions follow from Bragg's law for the DFT cell and can differ from measured ones.

Cell and atoms:
```
data_RhF3
_cell_length_a 5.0108
_cell_length_b 5.0108
_cell_length_c 13.8386
_cell_angle_alpha 90.00
_cell_angle_beta 90.00
_cell_angle_gamma 120.00
_symmetry_space_group_name_H-M 'R -3 c'
_symmetry_Int_Tables_number 167
_symmetry_space_group_name_Hall '-R 3 2"c'
loop_
_atom_site_label
_atom_site_type_symbol
_atom_site_fract_x
_atom_site_fract_y
_atom_site_fract_z
_atom_site_occupancy
Rh1 Rh 0.0000 0.0000 0.0000 1
F1 F 0.0000 0.3403 0.2500 1
```

Top 6 peaks for 2θ from 15° to 90°, by intensity:
two_theta, I/Imax
24.2, 100
33.1, 42
54.0, 32
43.7, 18
35.8, 18
57.8, 17

=====

Record 11
Diffraction record for RhF6. The XRD peak list is calculated, not measured: it uses a crystal structure in the Materials Project, relaxed with PBE and Cu Kα.
Peak positions follow from Bragg's law for the DFT cell and can differ from measured ones.

Cell and atoms:
```
data_RhF6
_cell_length_a 6.454
_cell_length_b 6.454
_cell_length_c 6.454
_cell_angle_alpha 90.00
_cell_angle_beta 90.00
_cell_angle_gamma 90.00
_symmetry_space_group_name_H-M 'I m -3 m'
_symmetry_Int_Tables_number 229
_symmetry_space_group_name_Hall '-I 4 2 3'
loop_
_atom_site_label
_atom_site_type_symbol
_atom_site_fract_x
_atom_site_fract_y
_atom_site_fract_z
_atom_site_occupancy
Rh1 Rh 0.000 0.000 0.000 1
F1 F 0.000 0.000 0.290 1
```

Top 6 peaks for 2θ from 15° to 90°, by intensity:
two_theta, I/Imax
19.4, 100
44.4, 36
27.6, 30
60.9, 15
53.1, 13
75.0, 13